(1)
The following is a simulated PXRD pattern of Nd2Ho5Sc2. It was derived from a GGA-PBE-relaxed structure, using λ = 1.5418 Å (Cu Kα).
Peak positions follow from Bragg's law for the DFT cell and can differ from measured ones.

a = 6.058 Å, b = 6.064 Å, c = 7.825 Å
α = 82.40°, β = 75.06°, γ = 80.47°
Space group P-1 (No. 2)
One atom of each set of equivalent atoms:
1 Nd 0.221 0.444 0.112 x2
2 Ho 0.000 0.000 0.000 x1
3 Ho 0.116 0.221 0.553 x2
4 Ho 0.448 0.887 0.230 x2
5 Sc 0.335 0.664 0.663 x2

Peak list (6 most intense, 2θ from 15° to 90°, by angle)
- d 2.857, I 100.0, (2 1 1)
- d 2.476, I 33.6, (2 -1 0)
- d 2.471, I 16.8, (1 2 -1)
- d 1.749, I 29.3, (2 3 2)
- d 1.494, I 13.9, (-2 3 1)
- d 1.492, I 20.7, (3 3 0)


(2)
The following is a simulated PXRD pattern of Nd5Ir2Pd2. It was derived from a GGA-PBE-relaxed structure, using λ = 1.5418 Å (Cu Kα).
Peak positions follow from Bragg's law for the DFT cell and can differ from measured ones.

a = 14.994 Å, b = 7.845 Å, c = 7.801 Å
α = 90.00°, β = 90.00°, γ = 90.00°
Space group Cmce (No. 64)
One atom of each set of equivalent atoms:
1 Nd 0.000 0.000 0.000 x4
2 Nd 0.132 0.172 0.334 x16
3 Ir 0.000 0.131 0.630 x8
4 Pd 0.205 0.000 0.000 x8

Peak list (6 most intense, 2θ from 15° to 90°, by angle)
- d 2.863, I 100.0, (3 1 2)
- d 2.707, I 57.8, (4 2 0)
- d 2.560, I 87.3, (4 2 1)
- d 2.446, I 59.4, (1 3 1)
- d 2.436, I 55.8, (1 1 3)
- d 2.275, I 35.2, (5 1 2)


(3)
The following is a simulated PXRD pattern of In4Sn5. It was derived from a GGA-PBE-relaxed structure, using λ = 1.5418 Å (Cu Kα).
Peak positions follow from Bragg's law for the DFT cell and can differ from measured ones.

a = 10.742 Å, b = 4.688 Å, c = 10.285 Å
α = 90.00°, β = 107.04°, γ = 90.00°
Space group C2/m (No. 12)
One atom of each set of equivalent atoms:
1 In 0.001 0.000 0.167 x4
2 In 0.166 0.500 0.723 x4
3 Sn 0.000 0.000 0.500 x2
4 Sn 0.167 0.500 0.389 x4
5 Sn 0.168 0.500 0.057 x4

Peak list (6 most intense, 2θ from 15° to 90°, by angle)
- d 2.766, I 100.0, (3 1 0)
- d 2.456, I 18.0, (2 0 3)
- d 2.390, I 16.7, (4 0 -3)
- d 2.344, I 15.8, (0 2 0)
- d 1.471, I 14.7, (5 1 3)
- d 1.422, I 13.1, (3 3 0)


(4)
The following is a simulated PXRD pattern of Th2TePd. It was derived from a GGA-PBE-relaxed structure, using λ = 1.5418 Å (Cu Kα).
Peak positions follow from Bragg's law for the DFT cell and can differ from measured ones.

a = 4.1780 Å, b = 4.1780 Å, c = 23.6260 Å
α = 90.00°, β = 90.00°, γ = 120.00°
Space group R3m (No. 160, hexagonal axes)
One atom of each set of equivalent atoms:
1 Th 0.0000 0.0000 0.0000 x3
2 Th 0.0000 0.0000 0.1906 x3
3 Te 0.0000 0.0000 0.7621 x3
4 Pd 0.0000 0.0000 0.5941 x3

Peak list (6 most intense, 2θ from 15° to 90°, by angle)
- d 3.577, I 22.4, (1 0 1)
- d 3.460, I 23.0, (0 1 2)
- d 3.085, I 28.2, (1 0 4)
- d 2.873, I 100.0, (0 1 5)
- d 2.468, I 27.9, (1 0 7)
- d 2.089, I 48.7, (1 1 0)


(5)
The following is a simulated PXRD pattern of Tb2YLu. It was derived from a GGA-PBE-relaxed structure, using λ = 1.5418 Å (Cu Kα).
Peak positions follow from Bragg's law for the DFT cell and can differ from measured ones.

a = 3.540 Å, b = 3.540 Å, c = 10.000 Å
α = 90.00°, β = 90.00°, γ = 90.00°
Space group P4/mmm (No. 123)
One atom of each set of equivalent atoms:
1 Tb 0.000 0.000 0.246 x2
2 Y 0.500 0.500 0.500 x1
3 Lu 0.500 0.500 0.000 x1

Peak list (6 most intense, 2θ from 15° to 90°, by angle)
- d 2.889, I 100.0, (1 0 2)
- d 2.502, I 50.5, (1 1 0)
- d 1.769, I 35.7, (2 0 0)
- d 1.509, I 42.2, (2 1 2)
- d 1.445, I 12.1, (2 0 4)
- d 1.148, I 17.4, (3 0 2)


(6)
The following is a simulated PXRD pattern of KCrPb. It was derived from a GGA-PBE-relaxed structure, using λ = 1.5418 Å (Cu Kα).
Peak positions follow from Bragg's law for the DFT cell and can differ from measured ones.

a = 3.414 Å, b = 4.430 Å, c = 12.421 Å
α = 90.00°, β = 90.00°, γ = 90.00°
Space group Imm2 (No. 44)
One atom of each set of equivalent atoms:
1 K 0.000 0.000 0.000 x2
2 Cr 0.000 0.000 0.723 x2
3 Pb 0.000 0.000 0.290 x2

Peak list (6 most intense, 2θ from 15° to 90°, by angle)
- d 4.173, I 67.3, (0 1 1)
- d 3.025, I 79.5, (0 1 3)
- d 2.704, I 100.0, (1 1 0)
- d 2.634, I 54.8, (1 0 3)
- d 2.479, I 75.0, (1 1 2)
- d 2.039, I 56.1, (1 1 4)


(7)
The following is a simulated PXRD pattern of PrURu. It was derived from a GGA-PBE-relaxed structure, using λ = 1.5418 Å (Cu Kα).
Peak positions follow from Bragg's law for the DFT cell and can differ from measured ones.

a = 3.521 Å, b = 3.521 Å, c = 11.412 Å
α = 90.00°, β = 90.00°, γ = 90.00°
Space group I4mm (No. 107)
One atom of each set of equivalent atoms:
1 Pr 0.000 0.000 0.000 x2
2 U 0.000 0.000 0.702 x2
3 Ru 0.000 0.000 0.288 x2

Peak list (6 most intense, 2θ from 15° to 90°, by angle)
- d 5.706, I 27.7, (0 0 2)
- d 2.584, I 100.0, (1 0 3)
- d 2.490, I 65.2, (1 1 0)
- d 1.876, I 24.6, (1 1 4)
- d 1.479, I 24.2, (1 0 7)
- d 1.455, I 34.7, (2 1 3)


(8)
The following is a simulated PXRD pattern of Li6AsN4. It was derived from a GGA-PBE-relaxed structure, using λ = 1.5418 Å (Cu Kα).
Peak positions follow from Bragg's law for the DFT cell and can differ from measured ones.

a = 6.587 Å, b = 6.587 Å, c = 4.936 Å
α = 90.00°, β = 90.00°, γ = 90.00°
Space group P4_2/nmc (No. 137, origin choice 2)
One atom of each set of equivalent atoms:
1 Li 0.040 0.540 0.250 x8
2 Li 0.250 0.250 0.154 x4
3 As 0.250 0.750 0.750 x2
4 N 0.010 0.750 0.561 x8

Peak list (6 most intense, 2θ from 15° to 90°, by angle)
- d 4.658, I 54.0, (1 1 0)
- d 3.950, I 100.0, (1 0 1)
- d 3.293, I 21.7, (2 0 0)
- d 2.529, I 45.5, (2 1 1)
- d 2.006, I 21.2, (3 0 1)
- d 1.694, I 20.9, (2 2 2)


- What is the formula in the fourth record?
  Th2TePd


- Number 8 is which compound?
  Li6AsN4